[1]
Computed X-ray diffraction stick pattern of Na4Hg2Pb for Cu Kα X-rays, from a crystal structure in Alexandria, relaxed with PBE.
Kinematic intensities with the Lorentz-polarization factor, no thermal factor.

Peak list (12 most intense, 10 to 90 degrees two-theta, in order of falling intensity)
2θ (°)  d_spacing  Rel. int.  (hkl)
24.14  3.687  100.0  1 0 4
33.54  2.672  89.3  1 1 0
35.25  2.546  64.1  0 1 8
10.88  8.131  56.5  0 0 3
32.15  2.784  34.6  1 0 7
61.09  1.517  31.1  1 2 8
41.75  2.163  25.0  0 2 4
49.45  1.843  24.8  2 0 8
54.58  1.681  23.9  2 1 4
35.36  2.538  22.4  1 1 3
20.53  4.327  21.2  0 1 2
19.52  4.547  20.3  1 0 1

Atomic structure:
a = 5.3439 Å, b = 5.3439 Å, c = 24.3942 Å
α = 90.00°, β = 90.00°, γ = 120.00°
Space group R-3m (No. 166, hexagonal axes)
Asymmetric unit:
Na: 0.0000 0.0000 0.1109
Na: 0.0000 0.0000 0.3683
Hg: 0.0000 0.0000 0.2397
Pb: 0.0000 0.0000 0.5000

[2]
Computed X-ray diffraction stick pattern of TmSi6Rh12 for Cu Kα X-rays, from a crystal structure in Alexandria, relaxed with PBE.
Kinematic intensities with the Lorentz-polarization factor, no thermal factor.

Peak list (12 most intense, 10 to 90 degrees two-theta, in order of falling intensity)
2θ (°)  d_spacing  Rel. int.  (hkl)
35.48  2.530  100.0  1 3 1
36.84  2.440  58.3  1 1 3
43.73  2.070  43.9  3 0 3
52.72  1.736  33.6  5 0 2
27.89  3.199  26.0  3 0 0
40.48  2.228  21.8  3 1 2
49.35  1.847  16.9  3 3 0
77.33  1.234  15.7  4 4 3
28.74  3.106  14.8  2 0 2
67.35  1.390  14.7  3 1 5
66.98  1.397  13.2  0 5 4
69.54  1.352  12.8  7 0 1

Atomic structure:
a = 11.0803 Å, b = 11.0803 Å, c = 8.1520 Å
α = 90.00°, β = 90.00°, γ = 120.00°
Space group R-3m (No. 166, hexagonal axes)
Asymmetric unit:
Tm: 0.0000 0.0000 0.0000
Si: 0.0400 0.5200 0.2705
Rh: 0.0000 0.3700 0.5000
Rh: 0.0836 0.1672 0.3485

[3]
Computed X-ray diffraction stick pattern of Ba2TaOs for Cu Kα X-rays, from a crystal structure in Alexandria, relaxed with PBE.
Kinematic intensities with the Lorentz-polarization factor, no thermal factor.

Peak list (12 most intense, 10 to 90 degrees two-theta, in order of falling intensity)
2θ (°)  d_spacing  Rel. int.  (hkl)
28.42  3.140  100.0  0 0 9
41.51  2.176  57.1  1 1 0
26.80  3.327  56.5  1 0 4
51.05  1.789  46.8  1 1 9
57.62  1.600  40.4  1 1 12
32.47  2.758  39.9  1 0 7
42.65  2.120  30.5  1 1 3
38.12  2.361  22.3  0 0 12
88.06  1.109  19.4  3 0 12
34.77  2.580  13.3  0 1 8
67.85  1.381  12.4  1 2 5
84.51  1.146  11.5  1 1 21

Atomic structure:
a = 4.3511 Å, b = 4.3511 Å, c = 28.3272 Å
α = 90.00°, β = 90.00°, γ = 120.00°
Space group R3m (No. 160, hexagonal axes)
Asymmetric unit:
Ba: 0.0000 0.0000 0.0000
Ba: 0.0000 0.0000 0.1783
Ta: 0.0000 0.0000 0.4227
Os: 0.0000 0.0000 0.7553

[4]
Computed X-ray diffraction stick pattern of Na8Zn2Pb for Cu Kα X-rays, from a crystal structure in Alexandria, relaxed with PBE.
Kinematic intensities with the Lorentz-polarization factor, no thermal factor.

Peak list (12 most intense, 10 to 90 degrees two-theta, in order of falling intensity)
2θ (°)  d_spacing  Rel. int.  (hkl)
20.27  4.381  100.0  0 1 -2
33.97  2.639  74.7  1 -2 2
32.24  2.777  45.2  2 0 -1
22.64  3.927  33.3  1 0 1
38.40  2.344  31.1  1 1 -4
41.32  2.185  25.4  0 3 -3
13.51  6.554  24.5  0 1 0
38.33  2.348  22.2  1 1 2
10.61  8.337  20.4  0 0 1
58.55  1.576  16.1  3 -2 1
53.34  1.718  15.3  2 3 -1
31.29  2.858  14.7  1 0 -3

Atomic structure:
a = 5.550 Å, b = 7.127 Å, c = 9.468 Å
α = 111.99°, β = 106.87°, γ = 90.12°
Space group P1 (No. 1)
Asymmetric unit:
Na: 0.000 0.000 0.000
Na: 0.023 0.508 0.046
Na: 0.192 0.353 0.387
Na: 0.368 0.850 0.729
Na: 0.391 0.387 0.775
Na: 0.589 0.898 0.178
Na: 0.694 0.620 0.388
Na: 0.801 0.108 0.596
Zn: 0.529 0.256 0.061
Zn: 0.864 0.584 0.716
Pb: 0.194 0.894 0.387

[5]
Computed X-ray diffraction stick pattern of MgB3F12 for Cu Kα X-rays, from a crystal structure in Alexandria, relaxed with PBE.
Kinematic intensities with the Lorentz-polarization factor, no thermal factor.

Peak list (12 most intense, 10 to 90 degrees two-theta, in order of falling intensity)
2θ (°)  d_spacing  Rel. int.  (hkl)
26.95  3.309  100.0  2 0 1
24.99  3.563  81.5  1 1 1
26.43  3.372  49.6  2 1 0
44.26  2.047  45.9  3 2 0
36.31  2.474  36.3  3 1 0
19.91  4.460  30.8  2 0 0
51.28  1.781  29.7  2 2 2
44.59  2.032  28.1  4 0 1
45.57  1.991  25.3  2 1 2
47.92  1.898  24.0  3 0 2
32.16  2.784  18.8  2 1 1
62.46  1.487  18.8  6 0 0

Atomic structure:
a = 10.3009 Å, b = 10.3009 Å, c = 4.9331 Å
α = 90.00°, β = 90.00°, γ = 120.00°
Space group P6_3/m (No. 176)
Asymmetric unit:
Mg: 0.3333 0.6667 0.2500
B: 0.1230 0.7061 0.7500
F: 0.0328 0.3833 0.2500
F: 0.1439 0.3072 0.7500
F: 0.1828 0.6713 0.5155

[6]
Computed X-ray diffraction stick pattern of TlSeF6 for Cu Kα X-rays, from a crystal structure in Alexandria, relaxed with PBE.
Kinematic intensities with the Lorentz-polarization factor, no thermal factor.

Peak list (12 most intense, 10 to 90 degrees two-theta, in order of falling intensity)
2θ (°)  d_spacing  Rel. int.  (hkl)
21.52  4.130  100.0  0 1 2
29.42  3.036  55.5  1 0 4
47.75  1.905  30.7  1 1 6
38.69  2.327  29.5  2 0 2
31.77  2.817  28.6  1 1 0
55.15  1.665  21.1  2 1 4
50.90  1.794  16.4  1 2 2
37.31  2.410  14.8  0 2 1
36.32  2.474  11.6  1 1 3
68.11  1.377  10.6  3 0 6
34.25  2.618  10.5  0 1 5
19.07  4.654  9.5  1 0 1

Atomic structure:
a = 5.6336 Å, b = 5.6336 Å, c = 15.5133 Å
α = 90.00°, β = 90.00°, γ = 120.00°
Space group R-3m (No. 166, hexagonal axes)
Asymmetric unit:
Tl: 0.0000 0.0000 0.0000
Se: 0.0000 0.0000 0.5000
F: 0.0234 0.5117 0.0972

[7]
Computed X-ray diffraction stick pattern of LiLaPuN3 for Cu Kα X-rays, from a crystal structure in Alexandria, relaxed with PBE.
Kinematic intensities with the Lorentz-polarization factor, no thermal factor.

Peak list (12 most intense, 10 to 90 degrees two-theta, in order of falling intensity)
2θ (°)  d_spacing  Rel. int.  (hkl)
28.36  3.147  100.0  1 1 0
36.01  2.494  68.0  1 1 -2
13.04  6.791  55.6  1 0 0
36.12  2.487  47.9  0 1 2
31.48  2.842  40.4  2 0 -2
25.57  3.484  37.4  0 0 2
26.25  3.395  34.1  2 0 0
31.86  2.809  33.5  1 0 2
15.59  5.683  26.4  1 0 -1
49.39  1.845  25.8  2 1 2
36.62  2.454  23.1  2 1 0
48.96  1.860  22.8  3 1 -2

Atomic structure:
a = 7.049 Å, b = 3.551 Å, c = 7.232 Å
α = 90.00°, β = 105.54°, γ = 90.00°
Space group P2_1/m (No. 11)
Asymmetric unit:
Li: 0.089 0.250 0.075
La: 0.275 0.750 0.811
Pu: 0.332 0.750 0.323
N: 0.038 0.750 0.206
N: 0.369 0.250 0.577
N: 0.370 0.250 0.121

[8]
Computed X-ray diffraction stick pattern of Ho2CN2O2 for Cu Kα X-rays, from a crystal structure in Alexandria, relaxed with PBE.
Kinematic intensities with the Lorentz-polarization factor, no thermal factor.

Peak list (12 most intense, 10 to 90 degrees two-theta, in order of falling intensity)
2θ (°)  d_spacing  Rel. int.  (hkl)
29.87  2.992  100.0  1 0 1
10.81  8.184  51.8  0 0 1
35.52  2.528  44.6  0 1 2
49.10  1.856  28.0  1 1 0
53.06  1.726  24.7  1 0 4
60.33  1.534  20.4  1 1 3
43.51  2.080  20.3  1 0 3
32.83  2.728  19.1  0 0 3
21.72  4.092  18.3  0 0 2
27.76  3.214  17.2  1 0 0
58.53  1.577  15.0  0 2 1
89.11  1.099  13.4  1 0 7

Atomic structure:
a = 3.7112 Å, b = 3.7112 Å, c = 8.1838 Å
α = 90.00°, β = 90.00°, γ = 120.00°
Space group P-3m1 (No. 164)
Asymmetric unit:
Ho: 0.3333 0.6667 0.1766
C: 0.0000 0.0000 0.5000
N: 0.0000 0.0000 0.3490
O: 0.3333 0.6667 0.8972

[9]
Computed X-ray diffraction stick pattern of Er4Cu2Sb for Cu Kα X-rays, from a crystal structure in Alexandria, relaxed with PBE.
Kinematic intensities with the Lorentz-polarization factor, no thermal factor.

Peak list (12 most intense, 10 to 90 degrees two-theta, in order of falling intensity)
2θ (°)  d_spacing  Rel. int.  (hkl)
34.23  2.620  100.0  0 1 2
36.60  2.455  82.1  1 -3 0
31.50  2.840  77.3  1 2 -1
32.01  2.796  70.7  1 2 -2
34.76  2.581  55.8  2 -2 1
35.50  2.529  53.3  0 1 -3
33.19  2.699  51.1  -2 1 2
27.87  3.201  50.5  0 2 -2
29.79  2.999  46.1  -1 1 2
33.07  2.709  45.3  1 1 1
33.95  2.641  40.7  1 1 -3
39.40  2.287  30.9  2 1 -3

Atomic structure:
a = 6.613 Å, b = 7.776 Å, c = 7.994 Å
α = 108.63°, β = 107.29°, γ = 106.34°
Space group P1 (No. 1)
Asymmetric unit:
Er: 0.000 0.000 0.000
Er: 0.006 0.419 0.808
Er: 0.154 0.474 0.341
Er: 0.282 0.109 0.568
Er: 0.410 0.871 0.864
Er: 0.596 0.281 0.320
Er: 0.709 0.629 0.136
Er: 0.720 0.929 0.553
Cu: 0.324 0.248 0.947
Cu: 0.727 0.240 0.971
Cu: 0.871 0.081 0.306
Cu: 0.953 0.684 0.562
Sb: 0.284 0.804 0.193
Sb: 0.603 0.571 0.702

[10]
Computed X-ray diffraction stick pattern of NpNb4O12 for Cu Kα X-rays, from a crystal structure in Alexandria, relaxed with PBE.
Kinematic intensities with the Lorentz-polarization factor, no thermal factor.

Peak list (12 most intense, 10 to 90 degrees two-theta, in order of falling intensity)
2θ (°)  d_spacing  Rel. int.  (hkl)
15.98  5.545  100.0  1 1 0
32.33  2.769  64.8  2 0 2
27.83  3.206  31.0  1 2 1
32.20  2.780  30.0  2 2 0
57.50  1.603  28.1  4 2 2
46.18  1.966  22.7  0 4 0
36.15  2.485  21.6  3 0 1
43.28  2.091  16.7  2 1 3
57.75  1.596  16.1  2 2 4
27.94  3.193  16.1  1 1 2
43.12  2.098  15.3  3 1 2
22.62  3.931  13.0  0 2 0

Atomic structure:
a = 7.859 Å, b = 7.866 Å, c = 7.801 Å
α = 90.00°, β = 90.00°, γ = 90.00°
Space group Imm2 (No. 44)
Asymmetric unit:
Np: 0.000 0.000 0.000
Nb: 0.246 0.246 0.731
O: 0.000 0.239 0.815
O: 0.000 0.241 0.192
O: 0.207 0.207 0.503
O: 0.238 0.000 0.815
O: 0.240 0.000 0.192

[11]
Computed X-ray diffraction stick pattern of InSn4Se6 for Cu Kα X-rays, from a crystal structure in Alexandria, relaxed with PBE.
Kinematic intensities with the Lorentz-polarization factor, no thermal factor.

Peak list (12 most intense, 10 to 90 degrees two-theta, in order of falling intensity)
2θ (°)  d_spacing  Rel. int.  (hkl)
21.45  4.143  100.0  3 1 -2
28.81  3.098  64.3  1 1 3
30.23  2.957  62.9  0 0 4
42.15  2.144  62.8  6 2 -3
31.15  2.871  60.3  2 2 -3
23.58  3.772  59.2  0 2 0
38.45  2.341  57.5  5 1 -5
27.77  3.212  53.8  2 2 -2
38.34  2.347  42.2  5 1 1
25.52  3.491  42.2  4 0 0
24.82  3.587  40.7  0 2 1
22.70  3.917  37.2  4 0 -2

Atomic structure:
a = 15.815 Å, b = 7.529 Å, c = 13.398 Å
α = 90.00°, β = 118.01°, γ = 90.00°
Space group Cc (No. 9)
Asymmetric unit:
In: 0.000 0.201 0.000
Sn: 0.048 0.157 0.755
Sn: 0.212 0.394 0.249
Sn: 0.257 0.096 0.552
Sn: 0.438 0.176 0.912
Se: 0.003 0.486 0.116
Se: 0.079 0.187 0.368
Se: 0.179 0.239 0.044
Se: 0.246 0.237 0.737
Se: 0.400 0.202 0.290
Se: 0.408 0.451 0.040